Record 1
Calculated PXRD pattern
Compound: SrTi2O5
Radiation: a wavelength of 1.5418 Å
Structure: a DFT-relaxed cell (PBE, the Materials Project)
Lines closer than 0.1° are merged.

Largest 6 diffraction maxima, most intense first, 2θ = 10–90°:
32.26 deg, intensity 1000, (2 4 1); 35.01 deg, intensity 600, (2 4 2); 27.15 deg, intensity 566, (2 0 2); 23.06 deg, intensity 552, (0 0 3); 26.66 deg, intensity 333, (0 4 2); 45.45 deg, intensity 291, (4 0 0)

Atomic structure:
```
data_SrTi2O5
_chemical_formula_sum 'Sr8 Ti16 O40'
_cell_length_a 7.983
_cell_length_b 16.398
_cell_length_c 11.556
_cell_angle_alpha 90.00
_cell_angle_beta 90.00
_cell_angle_gamma 90.00
_symmetry_space_group_name_H-M 'C m m 2'
_symmetry_Int_Tables_number 35
_symmetry_space_group_name_Hall 'C 2 -2'
loop_
_atom_site_label
_atom_site_fract_x
_atom_site_fract_y
_atom_site_fract_z
Sr1 0.000 0.000 0.000
Sr2 0.000 0.231 0.967
Sr3 0.000 0.500 0.976
Ti1 0.000 0.123 0.321
Ti2 0.214 0.500 0.295
Ti3 0.238 0.365 0.116
O1 0.000 0.000 0.348
O2 0.000 0.136 0.141
O3 0.000 0.188 0.430
O4 0.000 0.365 0.095
O5 0.000 0.500 0.349
O6 0.215 0.500 0.135
O7 0.217 0.111 0.963
O8 0.244 0.114 0.287
O9 0.250 0.250 0.096
```


Record 2
Calculated PXRD pattern
Compound: Sr3Ti2O7
Radiation: a wavelength of 1.5418 Å
Structure: a DFT-relaxed cell (PBE, the Materials Project)
Lines closer than 0.1° are merged.

Largest 6 diffraction maxima, most intense first, 2θ = 10–90°:
31.48 deg, intensity 1000, (1 0 5); 32.12 deg, intensity 672, (1 1 0); 46.06 deg, intensity 474, (2 0 0); 56.86 deg, intensity 373, (2 1 5); 41.82 deg, intensity 303, (1 1 6); 65.71 deg, intensity 181, (2 0 10)

Atomic structure:
```
data_Sr3Ti2O7
_chemical_formula_sum 'Sr6 Ti4 O14'
_cell_length_a 3.941
_cell_length_b 3.941
_cell_length_c 20.512
_cell_angle_alpha 90.00
_cell_angle_beta 90.00
_cell_angle_gamma 90.00
_symmetry_space_group_name_H-M 'I 4/m m m'
_symmetry_Int_Tables_number 139
_symmetry_space_group_name_Hall '-I 4 2'
loop_
_atom_site_label
_atom_site_fract_x
_atom_site_fract_y
_atom_site_fract_z
Sr1 0.000 0.000 0.000
Sr2 0.000 0.000 0.184
Ti1 0.000 0.000 0.402
O1 0.000 0.000 0.306
O2 0.000 0.000 0.500
O3 0.000 0.500 0.096
```


Record 3
Calculated PXRD pattern
Compound: Sr4ZrTi3O12
Radiation: a wavelength of 1.5418 Å
Structure: a DFT-relaxed cell (PBE, the Materials Project)
Lines closer than 0.1° are merged.

Largest 6 diffraction maxima, most intense first, 2θ = 10–90°:
31.48 deg, intensity 1000, (1 1 2); 31.62 deg, intensity 490, (0 2 0); 45.32 deg, intensity 380, (0 2 4); 56.22 deg, intensity 366, (1 3 2); 65.71 deg, intensity 224, (2 2 4); 44.90 deg, intensity 202, (2 0 0)

Atomic structure:
```
data_Sr4ZrTi3O12
_chemical_formula_sum 'Sr4 Zr1 Ti3 O12'
_cell_length_a 4.037
_cell_length_b 5.657
_cell_length_c 11.324
_cell_angle_alpha 90.00
_cell_angle_beta 90.00
_cell_angle_gamma 90.00
_symmetry_space_group_name_H-M 'P m m m'
_symmetry_Int_Tables_number 47
_symmetry_space_group_name_Hall '-P 2 2'
loop_
_atom_site_label
_atom_site_fract_x
_atom_site_fract_y
_atom_site_fract_z
Sr1 0.000 0.000 0.000
Sr2 0.000 0.000 0.500
Sr3 0.000 0.500 0.238
Zr1 0.500 0.500 0.500
Ti1 0.500 0.000 0.245
Ti2 0.500 0.500 0.000
O1 0.000 0.000 0.242
O2 0.000 0.500 0.000
O3 0.000 0.500 0.500
O4 0.500 0.240 0.368
O5 0.500 0.252 0.122
```